Record 1
Theoretical X-ray diffraction stick pattern
Compound: Zr6HN3
Radiation: Cu Kα
Structure: DFT lattice parameters and positions (GGA-PBE)
Intensities are scaled so that the largest is 100.

Top 10 peaks for 5° ≤ 2θ ≤ 70°, in order of rising 2θ:
21.3°, I = 1
31.5°, I = 17
33.9°, I = 23
35.9°, I = 100
46.9°, I = 20
56.1°, I = 19
61.9°, I = 20
65.8°, I = 2
67.2°, I = 18
68.4°, I = 14

Atomic structure:
abc: 6.226 6.226 6.226
angles: 54.27 54.27 54.27
Sites, in units of the cell vectors:
1 Zr 0.000 0.666 0.334
2 Zr 0.184 0.484 0.826
3 Zr 0.334 0.000 0.666
4 Zr 0.484 0.826 0.184
5 Zr 0.666 0.334 0.000
6 Zr 0.826 0.184 0.484
7 H 0.909 0.909 0.909
8 N 0.082 0.082 0.082
9 N 0.410 0.410 0.410
10 N 0.588 0.588 0.588


Record 2
Theoretical X-ray diffraction stick pattern
Compound: TmPd2Au4
Radiation: Cu Kα
Structure: DFT lattice parameters and positions (GGA-PBE)
Intensities are scaled so that the largest is 100.

Top 10 peaks for 5° ≤ 2θ ≤ 70°, in order of rising 2θ:
25.6°, I = 14
33.1°, I = 60
33.2°, I = 29
36.5°, I = 70
37.9°, I = 24
42.2°, I = 28
42.4°, I = 100
50.2°, I = 17
66.6°, I = 18
69.8°, I = 14

Atomic structure:
abc: 5.417 9.848 5.605
angles: 90.00 118.69 90.00
Sites, in units of the cell vectors:
1 Tm 0.000 0.000 0.000
2 Tm 0.500 0.500 0.000
3 Pd 0.000 0.250 0.500
4 Pd 0.000 0.750 0.500
5 Pd 0.500 0.250 0.500
6 Pd 0.500 0.750 0.500
7 Au 0.000 0.299 0.000
8 Au 0.000 0.701 0.000
9 Au 0.201 0.500 0.402
10 Au 0.299 0.000 0.598
11 Au 0.500 0.201 0.000
12 Au 0.500 0.799 0.000
13 Au 0.701 0.000 0.402
14 Au 0.799 0.500 0.598


Record 3
Theoretical X-ray diffraction stick pattern
Compound: Li3Nb
Radiation: Cu Kα
Structure: DFT lattice parameters and positions (GGA-PBE)
Intensities are scaled so that the largest is 100.

Top 8 peaks for 5° ≤ 2θ ≤ 70°, in order of rising 2θ:
24.2°, I = 100
28.1°, I = 52
40.1°, I = 58
47.4°, I = 47
49.7°, I = 14
58.0°, I = 10
63.8°, I = 19
65.7°, I = 17

Atomic structure:
abc: 6.360 6.360 6.360
angles: 90.00 90.00 90.00
Sites, in units of the cell vectors:
1 Li 0.000 0.000 0.000
2 Li 0.000 0.500 0.500
3 Li 0.250 0.250 0.250
4 Li 0.250 0.250 0.750
5 Li 0.250 0.750 0.250
6 Li 0.250 0.750 0.750
7 Li 0.500 0.000 0.500
8 Li 0.500 0.500 0.000
9 Li 0.750 0.250 0.250
10 Li 0.750 0.250 0.750
11 Li 0.750 0.750 0.250
12 Li 0.750 0.750 0.750
13 Nb 0.000 0.000 0.500
14 Nb 0.000 0.500 0.000
15 Nb 0.500 0.000 0.000
16 Nb 0.500 0.500 0.500


Record 4
Theoretical X-ray diffraction stick pattern
Compound: SmHo5Er12
Radiation: Cu Kα
Structure: DFT lattice parameters and positions (GGA-PBE)
Intensities are scaled so that the largest is 100.

Top 6 peaks for 5° ≤ 2θ ≤ 70°, in order of rising 2θ:
31.2°, I = 100
36.1°, I = 51
52.0°, I = 36
61.9°, I = 28
61.9°, I = 14
65.0°, I = 12

Atomic structure:
abc: 10.553 10.553 4.968
angles: 90.00 90.00 90.10
Sites, in units of the cell vectors:
1 Sm 0.000 0.000 0.000
2 Ho 0.167 0.833 0.500
3 Ho 0.333 0.667 0.000
4 Ho 0.500 0.500 0.500
5 Ho 0.667 0.333 0.000
6 Ho 0.833 0.167 0.500
7 Er 0.000 0.335 0.000
8 Er 0.000 0.665 0.000
9 Er 0.167 0.500 0.500
10 Er 0.168 0.168 0.500
11 Er 0.333 0.333 0.000
12 Er 0.335 0.000 0.000
13 Er 0.500 0.167 0.500
14 Er 0.500 0.833 0.500
15 Er 0.665 0.000 0.000
16 Er 0.667 0.667 0.000
17 Er 0.832 0.832 0.500
18 Er 0.833 0.500 0.500


Record 5
Theoretical X-ray diffraction stick pattern
Compound: Pm6Pb3Se
Radiation: Cu Kα
Structure: DFT lattice parameters and positions (GGA-PBE)
Intensities are scaled so that the largest is 100.

Top 10 peaks for 5° ≤ 2θ ≤ 70°, in order of rising 2θ:
25.1°, I = 47
29.2°, I = 46
30.0°, I = 20
30.2°, I = 24
31.8°, I = 38
32.4°, I = 47
32.6°, I = 100
35.1°, I = 59
39.1°, I = 20
45.1°, I = 46

Atomic structure:
abc: 11.987 4.018 13.787
angles: 90.00 107.76 90.00
Sites, in units of the cell vectors:
1 Pm 0.004 0.250 0.344
2 Pm 0.107 0.250 0.908
3 Pm 0.252 0.750 0.327
4 Pm 0.334 0.750 0.768
5 Pm 0.371 0.750 0.140
6 Pm 0.400 0.250 0.553
7 Pm 0.600 0.750 0.447
8 Pm 0.629 0.250 0.860
9 Pm 0.666 0.250 0.232
10 Pm 0.748 0.250 0.673
11 Pm 0.893 0.750 0.092
12 Pm 0.996 0.750 0.656
13 Pb 0.119 0.250 0.142
14 Pb 0.173 0.750 0.527
15 Pb 0.394 0.250 0.962
16 Pb 0.606 0.750 0.038
17 Pb 0.827 0.250 0.473
18 Pb 0.881 0.750 0.858
19 Se 0.441 0.250 0.320
20 Se 0.559 0.750 0.680


Record 6
Theoretical X-ray diffraction stick pattern
Compound: InP3O9
Radiation: Cu Kα
Structure: DFT lattice parameters and positions (GGA-PBE)
Intensities are scaled so that the largest is 100.

Top 10 peaks for 5° ≤ 2θ ≤ 70°, in order of rising 2θ:
16.1°, I = 37
18.2°, I = 21
22.0°, I = 100
23.7°, I = 19
24.8°, I = 26
26.0°, I = 16
30.6°, I = 20
31.3°, I = 18
35.3°, I = 17
35.4°, I = 15

Atomic structure:
abc: 7.673 7.673 9.846
angles: 123.09 123.09 51.72
Sites, in units of the cell vectors:
1 In 0.237 0.763 0.500
2 In 0.763 0.237 0.000
3 P 0.042 0.248 0.830
4 P 0.248 0.042 0.330
5 P 0.269 0.440 0.670
6 P 0.440 0.269 0.170
7 P 0.673 0.815 0.232
8 P 0.815 0.673 0.732
9 O 0.000 0.524 0.630
10 O 0.086 0.181 0.208
11 O 0.160 0.917 0.334
12 O 0.181 0.086 0.708
13 O 0.202 0.336 0.018
14 O 0.288 0.614 0.658
15 O 0.336 0.202 0.518
16 O 0.382 0.412 0.334
17 O 0.412 0.382 0.834
18 O 0.491 0.855 0.291
19 O 0.524 0.000 0.130
20 O 0.580 0.738 0.600
21 O 0.614 0.288 0.158
22 O 0.738 0.580 0.100
23 O 0.855 0.491 0.791
24 O 0.863 0.867 0.390
25 O 0.867 0.863 0.890
26 O 0.917 0.160 0.834


Record 7
Theoretical X-ray diffraction stick pattern
Compound: Pa2Tc3Ge4
Radiation: Cu Kα
Structure: DFT lattice parameters and positions (GGA-PBE)
Intensities are scaled so that the largest is 100.

Top 10 peaks for 5° ≤ 2θ ≤ 70°, in order of rising 2θ:
28.4°, I = 35
33.3°, I = 65
33.8°, I = 30
38.3°, I = 35
39.0°, I = 100
40.3°, I = 32
41.0°, I = 18
44.1°, I = 32
63.3°, I = 24
68.1°, I = 19

Atomic structure:
abc: 7.964 6.902 5.506
angles: 78.99 58.28 42.73
Sites, in units of the cell vectors:
1 Pa 0.130 0.130 0.870
2 Pa 0.870 0.870 0.130
3 Tc 0.000 0.000 0.500
4 Tc 0.500 0.500 0.000
5 Tc 0.500 0.500 0.500
6 Ge 0.171 0.498 0.502
7 Ge 0.498 0.171 0.829
8 Ge 0.502 0.829 0.171
9 Ge 0.829 0.502 0.498


Record 8
Theoretical X-ray diffraction stick pattern
Compound: Nd2Y5Sc2
Radiation: Cu Kα
Structure: DFT lattice parameters and positions (GGA-PBE)
Intensities are scaled so that the largest is 100.

Top 10 peaks for 5° ≤ 2θ ≤ 70°, in order of rising 2θ:
10.2°, I = 8
31.0°, I = 100
35.9°, I = 17
36.0°, I = 33
51.8°, I = 23
51.9°, I = 12
61.5°, I = 13
61.7°, I = 17
61.8°, I = 10
64.7°, I = 8

Atomic structure:
abc: 6.105 6.105 9.327
angles: 70.91 89.98 60.19
Sites, in units of the cell vectors:
1 Nd 0.164 0.163 0.001
2 Nd 0.836 0.837 0.999
3 Y 0.057 0.723 0.662
4 Y 0.387 0.063 0.662
5 Y 0.500 0.500 0.000
6 Y 0.613 0.937 0.338
7 Y 0.943 0.277 0.338
8 Sc 0.283 0.607 0.339
9 Sc 0.717 0.393 0.661


Record 9
Theoretical X-ray diffraction stick pattern
Compound: PuCu4F12
Radiation: Cu Kα
Structure: DFT lattice parameters and positions (GGA-PBE)
Intensities are scaled so that the largest is 100.

Top 10 peaks for 5° ≤ 2θ ≤ 70°, in order of rising 2θ:
15.4°, I = 100
16.0°, I = 85
16.2°, I = 82
27.1°, I = 39
27.4°, I = 37
28.4°, I = 31
31.1°, I = 50
32.3°, I = 45
32.7°, I = 46
44.1°, I = 45

Atomic structure:
abc: 6.864 6.864 6.864
angles: 113.82 108.28 106.41
Sites, in units of the cell vectors:
1 Pu 0.000 0.000 0.000
2 Cu 0.000 0.000 0.500
3 Cu 0.000 0.500 0.000
4 Cu 0.500 0.000 0.000
5 Cu 0.500 0.500 0.500
6 F 0.008 0.725 0.283
7 F 0.220 0.194 0.414
8 F 0.220 0.806 0.026
9 F 0.226 0.036 0.810
10 F 0.226 0.416 0.190
11 F 0.443 0.725 0.717
12 F 0.557 0.275 0.283
13 F 0.774 0.584 0.810
14 F 0.774 0.964 0.190
15 F 0.780 0.194 0.974
16 F 0.780 0.806 0.586
17 F 0.992 0.275 0.717


Record 10
Theoretical X-ray diffraction stick pattern
Compound: Y3SeO7
Radiation: Cu Kα
Structure: DFT lattice parameters and positions (GGA-PBE)
Intensities are scaled so that the largest is 100.

Top 10 peaks for 5° ≤ 2θ ≤ 70°, in order of rising 2θ:
29.2°, I = 100
29.4°, I = 95
33.8°, I = 33
34.3°, I = 16
48.3°, I = 12
48.9°, I = 78
57.6°, I = 20
57.9°, I = 27
58.3°, I = 11
58.4°, I = 11

Atomic structure:
abc: 6.449 6.449 7.456
angles: 90.00 90.00 108.47
Sites, in units of the cell vectors:
1 Y 0.033 0.498 0.255
2 Y 0.037 0.037 0.000
3 Y 0.498 0.033 0.745
4 Y 0.502 0.967 0.245
5 Y 0.963 0.963 0.500
6 Y 0.967 0.502 0.755
7 Se 0.493 0.493 0.500
8 Se 0.507 0.507 0.000
9 O 0.130 0.870 0.750
10 O 0.139 0.861 0.250
11 O 0.171 0.423 0.979
12 O 0.199 0.446 0.532
13 O 0.423 0.171 0.021
14 O 0.443 0.557 0.250
15 O 0.446 0.199 0.468
16 O 0.554 0.801 0.968
17 O 0.557 0.443 0.750
18 O 0.577 0.829 0.521
19 O 0.801 0.554 0.032
20 O 0.829 0.577 0.479
21 O 0.861 0.139 0.750
22 O 0.870 0.130 0.250


Record 11
Theoretical X-ray diffraction stick pattern
Compound: Pr2Ni5As4
Radiation: Cu Kα
Structure: DFT lattice parameters and positions (GGA-PBE)
Intensities are scaled so that the largest is 100.

Top 10 peaks for 5° ≤ 2θ ≤ 70°, in order of rising 2θ:
26.9°, I = 28
32.0°, I = 29
32.3°, I = 51
37.0°, I = 41
37.5°, I = 100
41.9°, I = 69
57.5°, I = 21
60.8°, I = 24
66.0°, I = 24
67.2°, I = 20

Atomic structure:
abc: 8.399 7.352 5.661
angles: 79.23 59.30 41.47
Sites, in units of the cell vectors:
1 Pr 0.142 0.142 0.858
2 Pr 0.858 0.858 0.142
3 Ni 0.000 0.000 0.500
4 Ni 0.250 0.250 0.250
5 Ni 0.500 0.500 0.000
6 Ni 0.500 0.500 0.500
7 Ni 0.750 0.750 0.750
8 As 0.215 0.526 0.474
9 As 0.474 0.785 0.215
10 As 0.526 0.215 0.785
11 As 0.785 0.474 0.526


Record 12
Theoretical X-ray diffraction stick pattern
Compound: Dy6CdPd2
Radiation: Cu Kα
Structure: DFT lattice parameters and positions (GGA-PBE)
Intensities are scaled so that the largest is 100.

Top 10 peaks for 5° ≤ 2θ ≤ 70°, in order of rising 2θ:
29.8°, I = 22
31.5°, I = 100
33.3°, I = 61
33.9°, I = 78
34.6°, I = 56
35.0°, I = 28
38.1°, I = 31
38.6°, I = 24
39.2°, I = 24
59.3°, I = 37

Atomic structure:
abc: 8.552 8.552 8.552
angles: 112.88 110.62 105.02
Sites, in units of the cell vectors:
1 Dy 0.042 0.238 0.804
2 Dy 0.183 0.288 0.471
3 Dy 0.183 0.712 0.894
4 Dy 0.326 0.026 0.700
5 Dy 0.326 0.626 0.300
6 Dy 0.434 0.238 0.196
7 Dy 0.566 0.762 0.804
8 Dy 0.674 0.374 0.700
9 Dy 0.674 0.974 0.300
10 Dy 0.817 0.288 0.106
11 Dy 0.817 0.712 0.529
12 Dy 0.958 0.762 0.196
13 Cd 0.000 0.000 0.000
14 Cd 0.500 0.500 0.000
15 Pd 0.133 0.633 0.500
16 Pd 0.344 0.000 0.344
17 Pd 0.656 0.000 0.656
18 Pd 0.867 0.367 0.500